Starting from a crystal structure in Alexandria, relaxed with GGA+U, the XRD peak list of K2Er2VO6 was computed for λ = 1.5418 Å (Cu Kα).

Structure:
```
data_K2Er2VO6
_cell_length_a 5.684
_cell_length_b 5.684
_cell_length_c 6.560
_cell_angle_alpha 97.48
_cell_angle_beta 97.48
_cell_angle_gamma 119.94
_symmetry_space_group_name_H-M 'P 1'
_symmetry_Int_Tables_number 1
_symmetry_space_group_name_Hall 'P 1'
loop_
_atom_site_label
_atom_site_type_symbol
_atom_site_fract_x
_atom_site_fract_y
_atom_site_fract_z
_atom_site_occupancy
K1 K 0.163 0.837 0.000 1
K2 K 0.837 0.163 0.000 1
Er1 Er 0.333 0.667 0.500 1
Er2 Er 0.667 0.333 0.500 1
V1 V 0.000 0.000 0.500 1
O1 O 0.048 0.361 0.672 1
O2 O 0.236 0.236 0.336 1
O3 O 0.361 0.048 0.672 1
O4 O 0.639 0.952 0.328 1
O5 O 0.764 0.764 0.664 1
O6 O 0.952 0.639 0.328 1
```

Largest 10 diffraction maxima, sorted by position, 2θ = 15–90°:
| d/Å | 2θ/deg | I (rel.) |
| --- | --- | --- |
| 4.326 | 20.5 | 31 |
| 3.167 | 28.2 | 55 |
| 2.816 | 31.8 | 39 |
| 2.747 | 32.6 | 31 |
| 2.711 | 33.0 | 59 |
| 2.455 | 36.6 | 100 |
| 2.408 | 37.3 | 46 |
| 1.978 | 45.9 | 26 |
| 1.809 | 50.4 | 29 |
| 1.641 | 56.0 | 40 |